1.
Starting from DFT lattice parameters and positions (GGA-PBE), the powder diffraction line list of Li10CdPd4 was computed for a wavelength of 1.5418 Å.
Lines closer than 0.1° are merged.

Structure:
Lattice parameters (Å, degrees): 6.809 6.809 6.809 109.71 109.71 109.00
Sites, in units of the cell vectors:
1 Li 0.046 0.935 0.662
2 Li 0.065 0.726 0.110
3 Li 0.250 0.750 0.500
4 Li 0.274 0.384 0.338
5 Li 0.384 0.046 0.110
6 Li 0.616 0.954 0.890
7 Li 0.726 0.616 0.662
8 Li 0.750 0.250 0.500
9 Li 0.935 0.274 0.890
10 Li 0.954 0.065 0.338
11 Cd 0.500 0.500 0.000
12 Pd 0.163 0.586 0.749
13 Pd 0.414 0.163 0.577
14 Pd 0.586 0.837 0.423
15 Pd 0.837 0.414 0.251

The 10 most intense peaks (2θ = 15–90°), sorted by position:
| d [Å] | 2θ (°) | I (rel.) |
| --- | --- | --- |
| 5.565 | 15.93 | 99.2 |
| 3.954 | 22.49 | 85.9 |
| 3.205 | 27.83 | 95.8 |
| 2.480 | 36.22 | 86.1 |
| 2.107 | 42.92 | 35.4 |
| 2.099 | 43.10 | 100.0 |
| 1.754 | 52.16 | 16.5 |
| 1.677 | 54.72 | 18.8 |
| 1.603 | 57.51 | 20.9 |
| 1.546 | 59.83 | 19.0 |



2.
Starting from DFT lattice parameters and positions (GGA-PBE), the powder diffraction line list of La3NpN5 was computed for a wavelength of 1.5418 Å.
Lines closer than 0.1° are merged.

Structure:
Lattice parameters (Å, degrees): 7.989 7.989 7.989 128.36 128.36 76.04
Sites, in units of the cell vectors:
1 La 0.178 0.678 0.857
2 La 0.250 0.250 0.000
3 La 0.322 0.178 0.500
4 La 0.678 0.822 0.500
5 La 0.750 0.750 0.000
6 La 0.822 0.322 0.143
7 Np 0.250 0.750 0.500
8 Np 0.750 0.250 0.500
9 N 0.000 0.000 0.000
10 N 0.013 0.196 0.500
11 N 0.196 0.696 0.183
12 N 0.304 0.487 0.500
13 N 0.487 0.987 0.183
14 N 0.500 0.500 0.000
15 N 0.513 0.013 0.817
16 N 0.696 0.513 0.500
17 N 0.804 0.304 0.817
18 N 0.987 0.804 0.500

The 10 most intense peaks (2θ = 15–90°), sorted by position:
| d [Å] | 2θ (°) | I (rel.) |
| --- | --- | --- |
| 4.920 | 18.03 | 12.8 |
| 3.147 | 28.36 | 37.3 |
| 3.045 | 29.33 | 100.0 |
| 3.021 | 29.57 | 20.3 |
| 2.500 | 35.93 | 23.4 |
| 2.460 | 36.52 | 25.8 |
| 2.077 | 43.57 | 12.2 |
| 1.938 | 46.88 | 23.9 |
| 1.797 | 50.82 | 24.0 |
| 1.556 | 59.39 | 12.2 |



3.
Starting from DFT lattice parameters and positions (GGA-PBE), the powder diffraction line list of Sm3Al5Pd was computed for a wavelength of 1.5418 Å.
Lines closer than 0.1° are merged.

Structure:
Lattice parameters (Å, degrees): 7.128 7.128 4.444 90.00 90.00 120.00
Sites, in units of the cell vectors:
1 Sm 0.000 0.413 0.000
2 Sm 0.413 0.000 0.000
3 Sm 0.587 0.587 0.000
4 Al 0.000 0.768 0.500
5 Al 0.232 0.232 0.500
6 Al 0.333 0.667 0.500
7 Al 0.667 0.333 0.500
8 Al 0.768 0.000 0.500
9 Pd 0.000 0.000 0.000

The 10 most intense peaks (2θ = 15–90°), sorted by position:
| d [Å] | 2θ (°) | I (rel.) |
| --- | --- | --- |
| 4.444 | 19.98 | 60.8 |
| 3.564 | 24.98 | 36.3 |
| 3.087 | 28.93 | 49.7 |
| 2.780 | 32.19 | 80.9 |
| 2.535 | 35.41 | 100.0 |
| 2.333 | 38.59 | 27.1 |
| 2.222 | 40.60 | 27.1 |
| 1.803 | 50.61 | 21.2 |
| 1.598 | 57.70 | 33.9 |
| 1.349 | 69.68 | 19.9 |



4.
Starting from DFT lattice parameters and positions (GGA-PBE), the powder diffraction line list of Na2ZnI4 was computed for a wavelength of 1.5418 Å.
Lines closer than 0.1° are merged.

Structure:
Lattice parameters (Å, degrees): 7.963 7.963 7.963 124.44 124.44 82.47
Sites, in units of the cell vectors:
1 Na 0.250 0.750 0.500
2 Na 0.750 0.250 0.500
3 Zn 0.000 0.000 0.000
4 I 0.100 0.669 0.000
5 I 0.331 0.331 0.431
6 I 0.669 0.100 0.000
7 I 0.900 0.900 0.569

The 10 most intense peaks (2θ = 15–90°), sorted by position:
| d [Å] | 2θ (°) | I (rel.) |
| --- | --- | --- |
| 3.947 | 22.53 | 100.0 |
| 3.712 | 23.98 | 19.9 |
| 3.199 | 27.89 | 9.0 |
| 2.624 | 34.16 | 20.2 |
| 2.553 | 35.16 | 11.8 |
| 2.330 | 38.64 | 31.7 |
| 2.185 | 41.31 | 26.9 |
| 2.029 | 44.66 | 11.9 |
| 1.866 | 48.81 | 10.7 |
| 1.521 | 60.92 | 9.9 |



5.
Starting from DFT lattice parameters and positions (GGA-PBE), the powder diffraction line list of AgBi2S3Cl was computed for a wavelength of 1.5418 Å.
Lines closer than 0.1° are merged.

Structure:
Lattice parameters (Å, degrees): 7.902 4.039 10.830 90.00 102.73 90.00
Sites, in units of the cell vectors:
1 Ag 0.061 0.250 0.407
2 Ag 0.939 0.750 0.593
3 Bi 0.188 0.250 0.929
4 Bi 0.455 0.750 0.653
5 Bi 0.545 0.250 0.347
6 Bi 0.812 0.750 0.071
7 S 0.037 0.250 0.146
8 S 0.199 0.250 0.661
9 S 0.320 0.750 0.411
10 S 0.680 0.250 0.589
11 S 0.801 0.750 0.339
12 S 0.963 0.750 0.854
13 Cl 0.404 0.750 0.101
14 Cl 0.596 0.250 0.899

The 10 most intense peaks (2θ = 15–90°), sorted by position:
| d [Å] | 2θ (°) | I (rel.) |
| --- | --- | --- |
| 5.661 | 15.65 | 40.5 |
| 3.515 | 25.34 | 50.9 |
| 3.501 | 25.44 | 100.0 |
| 3.209 | 27.80 | 90.1 |
| 2.809 | 31.86 | 35.2 |
| 2.788 | 32.10 | 72.4 |
| 2.643 | 33.91 | 44.4 |
| 2.596 | 34.55 | 30.7 |
| 2.034 | 44.55 | 31.5 |
| 2.020 | 44.86 | 52.6 |



6.
Starting from DFT lattice parameters and positions (GGA-PBE), the powder diffraction line list of BaTaTc2O8 was computed for a wavelength of 1.5418 Å.
Lines closer than 0.1° are merged.

Structure:
Lattice parameters (Å, degrees): 5.224 5.224 7.350 100.51 100.51 73.85
Sites, in units of the cell vectors:
1 Ba 0.000 0.000 0.000
2 Ta 0.000 0.000 0.500
3 Tc 0.436 0.436 0.770
4 Tc 0.564 0.564 0.230
5 O 0.222 0.768 0.697
6 O 0.232 0.778 0.303
7 O 0.239 0.239 0.583
8 O 0.349 0.349 0.982
9 O 0.651 0.651 0.018
10 O 0.761 0.761 0.417
11 O 0.768 0.222 0.697
12 O 0.778 0.232 0.303

The 10 most intense peaks (2θ = 15–90°), sorted by position:
| d [Å] | 2θ (°) | I (rel.) |
| --- | --- | --- |
| 4.377 | 20.29 | 40.9 |
| 4.066 | 21.86 | 100.0 |
| 3.139 | 28.44 | 61.0 |
| 3.117 | 28.64 | 98.6 |
| 2.729 | 32.82 | 67.0 |
| 2.486 | 36.13 | 46.7 |
| 2.279 | 39.54 | 20.1 |
| 1.868 | 48.75 | 23.1 |
| 1.808 | 50.48 | 22.7 |
| 1.722 | 53.20 | 19.4 |



7.
Starting from DFT lattice parameters and positions (GGA-PBE), the powder diffraction line list of Tb4Pr5Nd was computed for a wavelength of 1.5418 Å.
Lines closer than 0.1° are merged.

Structure:
Lattice parameters (Å, degrees): 9.640 9.640 10.320 105.95 105.95 21.87
Sites, in units of the cell vectors:
1 Tb 0.101 0.101 0.297
2 Tb 0.300 0.300 0.900
3 Tb 0.700 0.700 0.100
4 Tb 0.899 0.899 0.703
5 Pr 0.101 0.101 0.804
6 Pr 0.300 0.300 0.400
7 Pr 0.500 0.500 0.500
8 Pr 0.700 0.700 0.600
9 Pr 0.899 0.899 0.196
10 Nd 0.500 0.500 0.000

The 10 most intense peaks (2θ = 15–90°), sorted by position:
| d [Å] | 2θ (°) | I (rel.) |
| --- | --- | --- |
| 2.983 | 29.95 | 100.0 |
| 2.961 | 30.18 | 32.7 |
| 2.579 | 34.79 | 67.2 |
| 1.829 | 49.87 | 16.2 |
| 1.819 | 50.16 | 15.9 |
| 1.559 | 59.27 | 14.4 |
| 1.556 | 59.41 | 28.7 |
| 1.549 | 59.68 | 14.1 |
| 1.492 | 62.24 | 12.4 |
| 1.186 | 81.05 | 11.7 |



8.
Starting from DFT lattice parameters and positions (GGA-PBE), the powder diffraction line list of CaCd2GaAu5 was computed for a wavelength of 1.5418 Å.
Lines closer than 0.1° are merged.

Structure:
Lattice parameters (Å, degrees): 8.353 8.353 8.353 145.73 139.83 53.80
Sites, in units of the cell vectors:
1 Ca 0.000 0.000 0.000
2 Cd 0.308 0.808 0.500
3 Cd 0.692 0.192 0.500
4 Ga 0.500 0.500 0.000
5 Au 0.097 0.358 0.739
6 Au 0.381 0.642 0.739
7 Au 0.500 0.000 0.500
8 Au 0.619 0.358 0.261
9 Au 0.903 0.642 0.261

The 10 most intense peaks (2θ = 15–90°), sorted by position:
| d [Å] | 2θ (°) | I (rel.) |
| --- | --- | --- |
| 5.353 | 16.56 | 46.3 |
| 3.731 | 23.85 | 54.2 |
| 3.496 | 25.48 | 100.0 |
| 2.549 | 35.21 | 34.8 |
| 2.483 | 36.18 | 38.2 |
| 2.461 | 36.52 | 80.1 |
| 2.444 | 36.77 | 96.9 |
| 2.272 | 39.66 | 80.3 |
| 2.217 | 40.69 | 72.2 |
| 1.669 | 55.00 | 62.2 |